Diffraction record for Ho3Er2LuSb2Os. The X-ray powder pattern is calculated, not measured: it uses a crystal structure in OQMD, relaxed with GGA-PBE and Cu Kα (weighted mean of Kα1 and Kα2).

Structural model:
```
Ho3Er2LuSb2Os
1.0
4.184 0.000 0.000
0.000 7.049 4.054
0.000 -7.049 4.054
Ho Er Lu Sb Os
3 2 1 2 1
direct
0.000 0.000 0.000
0.000 0.523 0.762
0.000 0.762 0.523
0.500 0.154 0.763
0.500 0.763 0.154
0.500 0.374 0.374
0.000 0.097 0.429
0.000 0.429 0.097
0.500 0.758 0.758
```

Main lines, low angle first (2θ from 10° to 80°):
2θ (°), intensity
12.6, 21
30.7, 100
33.3, 81
33.7, 34
38.4, 27
40.2, 32
43.3, 27
55.9, 24
59.2, 23
61.5, 22

Diffraction record for HoEr4Lu2Te2Pd2. The X-ray powder pattern is calculated, not measured: it uses a crystal structure in OQMD, relaxed with GGA-PBE and Cu Kα (weighted mean of Kα1 and Kα2).

Structural model:
```
HoEr4Lu2Te2Pd2
1.0
-1.961 7.765 4.770
1.961 -7.765 4.770
1.961 7.765 -4.770
Ho Er Lu Te Pd
1 4 2 2 2
direct
0.000 0.000 0.000
0.091 0.735 0.356
0.380 0.735 0.644
0.453 0.584 0.870
0.714 0.584 0.130
0.058 0.375 0.683
0.692 0.375 0.317
0.339 0.339 0.000
0.735 0.235 0.500
0.305 0.068 0.236
0.832 0.068 0.764
```

Main lines, low angle first (2θ from 10° to 80°):
2θ (°), intensity
28.6, 32
30.1, 49
30.3, 22
33.1, 62
33.8, 100
34.3, 52
36.4, 23
38.2, 21
46.3, 29
58.1, 30